(1)
Simulated XRD peak list of BiPS2Br for copper Kα, from a crystal structure in Alexandria, relaxed with GGA-PBE.
Neutral-atom scattering factors, no anomalous dispersion.

Atomic structure:
a b c (Å): 4.822 4.822 5.022
angles (deg): 90.00 90.00 90.00
Space group P4/mmm (No. 123)
Asymmetric unit:
Bi 0.000 0.000 0.000
P 0.500 0.500 0.000
S 0.000 0.500 0.500
Br 0.500 0.500 0.500

Main lines, in order of falling intensity (2θ from 15° to 90°):
- (1 0 1), 2θ = 25.6°, rel. 1000
- (1 1 0), 2θ = 26.1°, rel. 457
- (1 1 1), 2θ = 31.7°, rel. 438
- (2 1 1), 2θ = 45.8°, rel. 437
- (2 0 0), 2θ = 37.3°, rel. 425
- (2 0 2), 2θ = 52.6°, rel. 310
- (0 0 2), 2θ = 35.8°, rel. 239
- (1 1 2), 2θ = 44.8°, rel. 225
- (2 2 2), 2θ = 66.3°, rel. 155
- (2 2 0), 2θ = 53.8°, rel. 145


(2)
Simulated XRD peak list of Tm8GaRu2 for copper Kα, from a crystal structure in Alexandria, relaxed with GGA-PBE.
Neutral-atom scattering factors, no anomalous dispersion.

Atomic structure:
a b c (Å): 8.550 12.807 5.388
angles (deg): 90.00 104.75 90.00
Space group Cm (No. 8)
Asymmetric unit:
Tm 0.000 0.000 0.000
Tm 0.076 0.368 0.781
Tm 0.178 0.132 0.609
Tm 0.255 0.500 0.389
Tm 0.377 0.239 0.194
Ga 0.378 0.000 0.189
Ru 0.377 0.314 0.695

Main lines, in order of falling intensity (2θ from 15° to 90°):
- (0 4 1), 2θ = 32.8°, rel. 1000
- (3 1 -1), 2θ = 33.4°, rel. 714
- (2 0 1), 2θ = 30.8°, rel. 707
- (2 4 0), 2θ = 35.5°, rel. 599
- (1 1 -2), 2θ = 34.1°, rel. 489
- (3 3 0), 2θ = 38.9°, rel. 402
- (1 3 1), 2θ = 30.7°, rel. 370
- (1 5 -1), 2θ = 39.5°, rel. 348
- (2 4 2), 2θ = 54.3°, rel. 317
- (4 2 0), 2θ = 46.2°, rel. 292


(3)
Simulated XRD peak list of Np2CrCl8 for copper Kα, from a crystal structure in Alexandria, relaxed with GGA-PBE.
Neutral-atom scattering factors, no anomalous dispersion.

Atomic structure:
a b c (Å): 20.567 3.899 8.105
angles (deg): 90.00 101.86 90.00
Space group C2/m (No. 12)
Asymmetric unit:
Np 0.151 0.000 0.339
Cr 0.000 0.500 0.000
Cl 0.008 0.000 0.207
Cl 0.107 0.500 0.522
Cl 0.119 0.500 0.064
Cl 0.247 0.000 0.666

Main lines, in order of falling intensity (2θ from 15° to 90°):
- (1 1 -2), 2θ = 31.8°, rel. 1000
- (1 1 1), 2θ = 26.2°, rel. 664
- (4 0 1), 2θ = 22.8°, rel. 545
- (5 1 -1), 2θ = 32.3°, rel. 532
- (3 1 -1), 2θ = 27.7°, rel. 518
- (4 0 0), 2θ = 17.6°, rel. 457
- (3 1 0), 2θ = 26.4°, rel. 455
- (5 1 -2), 2θ = 36.5°, rel. 424
- (6 0 0), 2θ = 26.6°, rel. 407
- (3 1 -3), 2θ = 41.2°, rel. 395


(4)
Simulated XRD peak list of Pr2Dy3Tm4 for copper Kα, from a crystal structure in Alexandria, relaxed with GGA-PBE.
Neutral-atom scattering factors, no anomalous dispersion.

Atomic structure:
a b c (Å): 11.600 5.650 9.117
angles (deg): 90.00 104.12 90.00
Space group C2/m (No. 12)
Asymmetric unit:
Pr 0.071 0.000 0.288
Dy 0.000 0.500 0.000
Dy 0.110 0.500 0.687
Tm 0.181 0.000 0.963
Tm 0.230 0.500 0.365

Main lines, in order of falling intensity (2θ from 15° to 90°):
- (3 1 1), 2θ = 32.3°, rel. 1000
- (3 1 -2), 2θ = 31.5°, rel. 806
- (0 2 0), 2θ = 31.7°, rel. 541
- (0 0 3), 2θ = 30.3°, rel. 410
- (0 2 3), 2θ = 44.4°, rel. 290
- (1 1 -3), 2θ = 33.5°, rel. 219
- (3 3 1), 2θ = 56.8°, rel. 202
- (3 3 -2), 2θ = 56.3°, rel. 157
- (6 2 -1), 2θ = 57.8°, rel. 147
- (6 0 -1), 2θ = 47.0°, rel. 136


(5)
Simulated XRD peak list of PuTi2H7 for copper Kα, from a crystal structure in Alexandria, relaxed with GGA-PBE.
Neutral-atom scattering factors, no anomalous dispersion.

Atomic structure:
a b c (Å): 3.191 3.191 15.215
angles (deg): 90.00 90.00 90.00
Space group I4/mmm (No. 139)
Asymmetric unit:
Pu 0.000 0.000 0.000
Ti 0.000 0.000 0.321
H 0.000 0.000 0.500
H 0.000 0.500 0.108
H 0.000 0.500 0.250

Main lines, in order of falling intensity (2θ from 15° to 90°):
- (1 0 3), 2θ = 33.2°, rel. 1000
- (1 0 1), 2θ = 28.6°, rel. 496
- (1 1 0), 2θ = 40.0°, rel. 295
- (0 0 4), 2θ = 23.4°, rel. 249
- (2 1 3), 2θ = 68.3°, rel. 245
- (1 1 6), 2θ = 54.4°, rel. 242
- (0 0 6), 2θ = 35.4°, rel. 197
- (1 1 4), 2θ = 46.8°, rel. 174
- (1 1 2), 2θ = 41.8°, rel. 163
- (1 0 7), 2θ = 50.8°, rel. 159


(6)
Simulated XRD peak list of Cu10NiAu6 for copper Kα, from a crystal structure in Alexandria, relaxed with GGA-PBE.
Neutral-atom scattering factors, no anomalous dispersion.

Atomic structure:
a b c (Å): 7.4314 7.4314 5.2529
angles (deg): 90.00 90.00 120.00
Space group P-31m (No. 162)
Asymmetric unit:
Cu 0.0000 0.3296 0.3428
Cu 0.3333 0.6667 0.0000
Cu 0.3333 0.6667 0.5000
Ni 0.0000 0.0000 0.0000
Au 0.0000 0.3316 0.8300

Main lines, in order of falling intensity (2θ from 15° to 90°):
- (3 0 0), 2θ = 42.1°, rel. 1000
- (3 3 0), 2θ = 77.0°, rel. 333
- (2 -1 1), 2θ = 29.4°, rel. 247
- (4 -2 2), 2θ = 61.1°, rel. 167
- (1 1 0), 2θ = 23.9°, rel. 116
- (3 0 3), 2θ = 69.3°, rel. 84
- (0 0 1), 2θ = 16.9°, rel. 68
- (0 0 3), 2θ = 52.2°, rel. 67
- (3 0 1), 2θ = 45.7°, rel. 35
- (3 0 2), 2θ = 55.3°, rel. 26


(7)
Simulated XRD peak list of CdIn3Ga3Sn2 for copper Kα, from a crystal structure in Alexandria, relaxed with GGA-PBE.
Neutral-atom scattering factors, no anomalous dispersion.

Atomic structure:
a b c (Å): 8.8256 8.8256 3.2574
angles (deg): 90.00 90.00 120.00
Space group P-62m (No. 189)
Asymmetric unit:
Cd 0.0000 0.0000 0.0000
In 0.0000 0.7020 0.5000
Ga 0.0000 0.3686 0.0000
Sn 0.3333 0.6667 0.5000

Main lines, in order of falling intensity (2θ from 15° to 90°):
- (3 0 0), 2θ = 35.2°, rel. 1000
- (1 1 1), 2θ = 34.2°, rel. 682
- (2 0 1), 2θ = 36.2°, rel. 360
- (3 0 2), 2θ = 68.4°, rel. 325
- (2 1 1), 2θ = 41.8°, rel. 276
- (3 2 1), 2θ = 59.9°, rel. 250
- (2 2 1), 2θ = 49.9°, rel. 166
- (2 1 0), 2θ = 31.0°, rel. 138
- (4 1 1), 2θ = 62.6°, rel. 128
- (3 3 0), 2θ = 63.2°, rel. 124


(8)
Simulated XRD peak list of Ba2Sr3Nb10O30 for copper Kα, from a crystal structure in Alexandria, relaxed with GGA-PBE.
Neutral-atom scattering factors, no anomalous dispersion.

Atomic structure:
a b c (Å): 4.013 12.839 12.853
angles (deg): 88.69 89.87 89.68
Space group P1 (No. 1)
Asymmetric unit:
Ba 0.000 0.000 0.000
Ba 0.004 0.834 0.532
Sr 0.002 0.655 0.193
Sr 0.005 0.513 0.905
Sr 0.999 0.155 0.687
Nb 0.504 0.729 0.977
Nb 0.505 0.240 0.895
Nb 0.505 0.939 0.757
Nb 0.506 0.083 0.471
Nb 0.506 0.867 0.265
Nb 0.510 0.442 0.124
Nb 0.511 0.366 0.605
Nb 0.519 0.580 0.404
Nb 0.524 0.150 0.180
Nb 0.528 0.644 0.693
O 0.476 0.996 0.614
O 0.477 0.575 0.038
O 0.478 0.136 0.332
O 0.478 0.299 0.173
O 0.480 0.072 0.821
O 0.480 0.985 0.168
O 0.481 0.272 0.746
O 0.481 0.486 0.689
O 0.482 0.143 0.020
O 0.482 0.207 0.547
O 0.482 0.713 0.314
O 0.482 0.863 0.903
O 0.483 0.443 0.475
O 0.483 0.796 0.684
O 0.485 0.778 0.114
O 0.488 0.923 0.401
O 0.490 0.634 0.843
O 0.490 0.659 0.528
O 0.491 0.513 0.248
O 0.492 0.375 0.951
O 0.980 0.343 0.609
O 0.981 0.061 0.485
O 0.984 0.136 0.171
O 0.984 0.218 0.886
O 0.984 0.849 0.256
O 0.984 0.936 0.758
O 0.986 0.711 0.976
O 0.987 0.447 0.100
O 0.987 0.581 0.384
O 0.992 0.642 0.684

Main lines, in order of falling intensity (2θ from 15° to 90°):
- (0 4 -2), 2θ = 31.4°, rel. 1000
- (0 4 1), 2θ = 28.5°, rel. 802
- (2 0 0), 2θ = 45.2°, rel. 776
- (0 1 -4), 2θ = 28.8°, rel. 761
- (-1 3 1), 2θ = 31.3°, rel. 742
- (1 -2 1), 2θ = 27.2°, rel. 560
- (1 0 0), 2θ = 22.2°, rel. 545
- (1 2 -1), 2θ = 27.1°, rel. 538
- (1 3 1), 2θ = 31.1°, rel. 505
- (0 3 2), 2θ = 24.7°, rel. 483